Calculated PXRD pattern
Compound: Ho2CrO5
Radiation: Cu Kα, 1.54184 Å
Structure: a DFT-relaxed cell (PBE+U, Alexandria)
Intensities are scaled so that the largest is 1000.

Main lines, most intense first (10° ≤ 2θ ≤ 90°):
Position (°2θ)	intensity
31.1	1000
28.8	601
26.9	509
33.8	452
15.9	406
50.6	233
48.1	211
29.5	184
35.0	179
33.2	169

Structural model:
Cell lengths 9.4088, 6.9501, 6.7966 Å; angles 90.00, 98.13, 90.00 degrees
Space group P2_1/c (No. 14)
Inequivalent atoms, fractional coordinates:
Ho: 0.0337 0.1173 0.2301 x4
Ho: 0.3450 0.1453 0.9791 x4
Cr: 0.2998 0.6070 0.9826 x4
O: 0.1040 0.1194 0.9160 x4
O: 0.1051 0.6425 0.9607 x4
O: 0.2790 0.0751 0.2799 x4
O: 0.3597 0.0737 0.6598 x4
O: 0.4057 0.6821 0.4897 x4